(1)
Theoretical powder X-ray diffraction pattern
Compound: Y2Zr5Ir3
Radiation: λ = 1.5418 Å (Cu Kα)
Structure: a crystal structure in Alexandria, relaxed with PBE
Intensities are scaled so that the largest is 100.

Structural model:
```
data_Y2Zr5Ir3
_space_group_name_H-M_alt 'C m c 21'
_space_group_IT_number 36
_cell_length_a 4.5725
_cell_length_b 27.4630
_cell_length_c 7.0259
_cell_angle_alpha 90.00
_cell_angle_beta 90.00
_cell_angle_gamma 90.00
loop_
_space_group_symop_operation_xyz
'x,y,z'
'-x,-y,z+1/2'
'-x,y,z'
'x,-y,z+1/2'
'x+1/2,y+1/2,z'
'-x+1/2,-y+1/2,z+1/2'
'-x+1/2,y+1/2,z'
'x+1/2,-y+1/2,z+1/2'
loop_
_atom_site_label
_atom_site_fract_x
_atom_site_fract_y
_atom_site_fract_z
Y1 0.0000 0.0222 0.0000
Y2 0.0000 0.3271 0.0024
Zr1 0.0000 0.0977 0.6379
Zr2 0.0000 0.2043 0.2166
Zr3 0.0000 0.2075 0.7940
Zr4 0.0000 0.3727 0.4842
Zr5 0.0000 0.4463 0.8423
Ir1 0.0000 0.1040 0.2476
Ir2 0.0000 0.2719 0.5089
Ir3 0.0000 0.4525 0.2250
```

Most intense lines, 2θ = 10–90°, in order of rising 2θ:
hkl  2θ/deg  I (rel.)
1 3 1  25.19  27
1 7 1  32.66  56
1 3 2  33.63  100
0 10 1  35.08  26
1 9 0  35.36  26
2 0 0  39.41  63
1 11 0  41.20  28
1 9 2  44.01  41

---

(2)
Theoretical powder X-ray diffraction pattern
Compound: CsCa2Np2O7
Radiation: λ = 1.5418 Å (Cu Kα)
Structure: a crystal structure in Alexandria, relaxed with PBE
Intensities are scaled so that the largest is 100.

Structural model:
```
data_CsCa2Np2O7
_space_group_name_H-M_alt 'I 4/m m m'
_space_group_IT_number 139
_space_group_name_Hall '-I 4 2'
_cell_length_a 4.4949
_cell_length_b 4.4949
_cell_length_c 19.4447
_cell_angle_alpha 90.00
_cell_angle_beta 90.00
_cell_angle_gamma 90.00
loop_
_atom_site_label
_atom_site_fract_x
_atom_site_fract_y
_atom_site_fract_z
Cs1 0.0000 0.0000 0.0000
Ca1 0.0000 0.5000 0.2500
Np1 0.0000 0.0000 0.3886
O1 0.0000 0.0000 0.2758
O2 0.0000 0.0000 0.5000
O3 0.0000 0.5000 0.1237
```

Most intense lines, 2θ = 10–90°, in order of rising 2θ:
hkl  2θ/deg  I (rel.)
1 0 1  20.28  59
1 0 3  24.09  87
1 1 0  28.07  54
1 1 2  29.57  31
1 0 5  30.39  100
2 0 0  40.12  55
2 1 3  47.35  29
2 1 5  51.15  49